Starting from a cell relaxed with PBE, the XRD peak list of Ac2TlC2 was simulated for Cu Kα.
Neutral-atom scattering factors, no anomalous dispersion.

Structure:
```
data_Ac2TlC2
_symmetry_space_group_name_H-M 'C 1 2/c 1'
_symmetry_Int_Tables_number 15
_symmetry_space_group_name_Hall '-C 2yc'
_cell_length_a 17.644
_cell_length_b 4.233
_cell_length_c 7.477
_cell_angle_alpha 90.00
_cell_angle_beta 108.28
_cell_angle_gamma 90.00
loop_
_atom_site_label
_atom_site_type_symbol
_atom_site_fract_x
_atom_site_fract_y
_atom_site_fract_z
_atom_site_occupancy
Ac1 Ac 0.153 0.160 0.111 1
Tl1 Tl 0.000 0.489 0.750 1
C1 C 0.232 0.368 0.528 1
```

Principal peaks in the range 5 to 70 degrees two-theta, by angle:
two_theta	I_rel	hkl
25.9	61	1 1 1
26.4	89	3 1 0
27.0	52	3 1 -1
27.4	63	4 0 -2
30.3	77	2 0 2
32.1	100	6 0 0
33.3	26	5 1 -1
34.1	26	6 0 -2
42.6	23	1 1 -3
49.0	19	2 0 -4